Record 1
Simulated PXRD pattern
Compound: Li3Zn2Fe19O32
Radiation: Cu Kα X-rays
Structure: the PBE+U geometry in the Materials Project

Cell: 6.0125 6.0133 19.9250 Å, 89.97 81.34 60.12°
Space group P1 (No. 1)
One atom of each set of equivalent atoms:
Li 0.0000 0.0000 0.0000 [1 per cell]
Li 0.0014 0.5001 0.5016 [1 per cell]
Li 0.4980 0.7573 0.2496 [1 per cell]
Zn 0.1869 0.9084 0.7193 [1 per cell]
Zn 0.4309 0.7860 0.8455 [1 per cell]
Fe 0.1833 0.4172 0.2215 [1 per cell]
Fe 0.3768 0.8121 0.4357 [1 per cell]
Fe 0.3830 0.3126 0.9403 [1 per cell]
Fe 0.4273 0.2908 0.3427 [1 per cell]
Fe 0.4413 0.0344 0.5925 [1 per cell]
Fe 0.4412 0.5294 0.5915 [1 per cell]
Fe 0.4412 0.5388 0.0942 [1 per cell]
Fe 0.4422 0.0231 0.0940 [1 per cell]
Fe 0.4891 0.2567 0.7524 [1 per cell]
Fe 0.6868 0.1556 0.4711 [1 per cell]
Fe 0.6866 0.6584 0.9736 [1 per cell]
Fe 0.8707 0.0711 0.1871 [1 per cell]
Fe 0.8771 0.5651 0.6859 [1 per cell]
Fe 0.9260 0.5398 0.0941 [1 per cell]
Fe 0.9351 0.0360 0.5920 [1 per cell]
Fe 0.9380 0.2780 0.8449 [1 per cell]
Fe 0.9376 0.7874 0.8449 [1 per cell]
Fe 0.9410 0.7755 0.3431 [1 per cell]
Fe 0.9430 0.2891 0.3430 [1 per cell]
O 0.0453 0.9808 0.4048 [1 per cell]
O 0.0488 0.4772 0.9057 [1 per cell]
O 0.0553 0.9740 0.8968 [1 per cell]
O 0.0682 0.4693 0.3988 [1 per cell]
O 0.0713 0.2342 0.1558 [1 per cell]
O 0.0722 0.2054 0.6511 [1 per cell]
O 0.0747 0.7268 0.6504 [1 per cell]
O 0.0777 0.7061 0.1540 [1 per cell]
O 0.2923 0.6098 0.7826 [1 per cell]
O 0.2932 0.0993 0.7831 [1 per cell]
O 0.2936 0.5888 0.2848 [1 per cell]
O 0.2949 0.1297 0.2839 [1 per cell]
O 0.3105 0.8483 0.5346 [1 per cell]
O 0.3110 0.3522 0.0395 [1 per cell]
O 0.3432 0.3293 0.5345 [1 per cell]
O 0.3430 0.8263 0.0364 [1 per cell]
O 0.5393 0.2404 0.1546 [1 per cell]
O 0.5514 0.7262 0.6511 [1 per cell]
O 0.5633 0.7164 0.1481 [1 per cell]
O 0.5655 0.2186 0.6522 [1 per cell]
O 0.5732 0.4498 0.4050 [1 per cell]
O 0.5739 0.9768 0.4047 [1 per cell]
O 0.5793 0.9518 0.9080 [1 per cell]
O 0.5805 0.4741 0.9073 [1 per cell]
O 0.7865 0.3779 0.0376 [1 per cell]
O 0.7944 0.3312 0.5342 [1 per cell]
O 0.7961 0.8766 0.5348 [1 per cell]
O 0.7975 0.8329 0.0360 [1 per cell]
O 0.8053 0.1010 0.2871 [1 per cell]
O 0.8138 0.5952 0.7849 [1 per cell]
O 0.8163 0.0933 0.7851 [1 per cell]
O 0.8364 0.5856 0.2844 [1 per cell]

Most intense lines, 2θ = 10–90°, low angle first:
h k l	2θ/deg	I (rel.)
0 1 1	18.07	39
1 0 -2	20.89	8
1 2 0	29.71	16
1 1 7	34.99	100
2 2 -2	36.60	14
2 2 6	42.52	39
-2 1 5	56.16	18
2 3 7	56.24	18
2 -2 2	61.63	17
2 4 0	61.73	33

=====

Record 2
Simulated PXRD pattern
Compound: LiZnFe10O16
Radiation: Cu Kα X-rays
Structure: the PBE+U geometry in the Materials Project

Cell: 6.0615 6.0615 29.7103 Å, 90.00 90.00 120.00°
Space group R3m (No. 160, hexagonal axes)
One atom of each set of equivalent atoms:
Li 0.0000 0.0000 0.0000 [3 per cell]
Zn 0.0000 0.0000 0.1891 [3 per cell]
Fe 0.0000 0.0000 0.3772 [3 per cell]
Fe 0.0000 0.0000 0.4996 [3 per cell]
Fe 0.0000 0.0000 0.6866 [3 per cell]
Fe 0.0000 0.0000 0.8780 [3 per cell]
Fe 0.1673 0.3347 0.7712 [9 per cell]
Fe 0.1677 0.3354 0.2729 [9 per cell]
O 0.0000 0.0000 0.0709 [3 per cell]
O 0.0000 0.0000 0.3060 [3 per cell]
O 0.0000 0.0000 0.5651 [3 per cell]
O 0.0000 0.0000 0.8110 [3 per cell]
O 0.0133 0.5067 0.8110 [9 per cell]
O 0.0317 0.5158 0.3108 [9 per cell]
O 0.1734 0.3467 0.8990 [9 per cell]
O 0.1833 0.3666 0.3993 [9 per cell]

Most intense lines, 2θ = 10–90°, low angle first:
h k l	2θ/deg	I (rel.)
0 1 2	17.92	28
1 1 0	29.47	21
1 0 10	34.70	100
0 2 4	36.30	12
2 0 8	42.16	32
3 0 0	52.27	7
2 1 10	55.71	36
2 2 0	61.15	49
1 3 10	72.26	10
0 1 26	87.36	16

=====

Record 3
Simulated PXRD pattern
Compound: LiZnFe4O8
Radiation: Cu Kα X-rays
Structure: the PBE+U geometry in the Materials Project

Cell: 5.9868 5.9868 14.7625 Å, 90.00 90.00 120.00°
Space group R3m (No. 160, hexagonal axes)
One atom of each set of equivalent atoms:
Li 0.0000 0.0000 0.0000 [3 per cell]
Zn 0.0000 0.0000 0.3739 [3 per cell]
Fe 0.0000 0.0000 0.7537 [3 per cell]
Fe 0.0078 0.5039 0.8778 [9 per cell]
O 0.0000 0.0000 0.1359 [3 per cell]
O 0.0000 0.0000 0.6224 [3 per cell]
O 0.0162 0.5081 0.1325 [9 per cell]
O 0.1780 0.3560 0.9516 [9 per cell]

Most intense lines, 2θ = 10–90°, low angle first:
h k l	2θ/deg	I (rel.)
0 0 3	18.03	17
1 0 1	18.13	60
0 1 2	20.94	20
0 1 5	34.97	35
1 1 3	35.10	100
2 0 2	36.74	18
0 2 4	42.62	62
0 3 3	56.39	40
2 0 8	61.70	35
2 2 0	62.01	35

=====

Record 4
Simulated PXRD pattern
Compound: Li3Zn2Fe19O32
Radiation: Cu Kα X-rays
Structure: the PBE+U geometry in the Materials Project

Cell: 10.4607 6.0377 20.0115 Å, 90.00 100.00 90.00°
Space group Cm (No. 8)
One atom of each set of equivalent atoms:
Li 0.0000 0.0000 0.0000 [2 per cell]
Li 0.0010 0.5000 0.4984 [2 per cell]
Li 0.2505 0.0000 0.7491 [2 per cell]
Zn 0.0962 0.0000 0.2799 [2 per cell]
Zn 0.2175 0.0000 0.1543 [2 per cell]
Fe 0.0935 0.5000 0.7774 [2 per cell]
Fe 0.1874 0.0000 0.5629 [2 per cell]
Fe 0.1897 0.5000 0.0598 [2 per cell]
Fe 0.2141 0.5000 0.6560 [2 per cell]
Fe 0.2222 0.2420 0.9058 [4 per cell]
Fe 0.2219 0.2530 0.4067 [4 per cell]
Fe 0.2476 0.5000 0.2470 [2 per cell]
Fe 0.3421 0.0000 0.0270 [2 per cell]
Fe 0.3443 0.5000 0.5274 [2 per cell]
Fe 0.4382 0.5000 0.8113 [2 per cell]
Fe 0.4402 0.0000 0.3126 [2 per cell]
Fe 0.4643 0.0000 0.9059 [2 per cell]
Fe 0.4684 0.5000 0.4065 [2 per cell]
Fe 0.4704 0.2549 0.1543 [4 per cell]
Fe 0.4713 0.2419 0.6561 [4 per cell]
O 0.0213 0.0000 0.5939 [2 per cell]
O 0.0232 0.5000 0.0940 [2 per cell]
O 0.0295 0.0000 0.1029 [2 per cell]
O 0.0336 0.5000 0.6003 [2 per cell]
O 0.0370 0.2646 0.8436 [4 per cell]
O 0.0378 0.2390 0.3481 [4 per cell]
O 0.1481 0.2712 0.7144 [4 per cell]
O 0.1491 0.2455 0.2163 [4 per cell]
O 0.1549 0.5000 0.9608 [2 per cell]
O 0.1561 0.0000 0.4632 [2 per cell]
O 0.1693 0.0000 0.9643 [2 per cell]
O 0.1725 0.5000 0.4645 [2 per cell]
O 0.2728 0.5000 0.8437 [2 per cell]
O 0.2775 0.0000 0.3474 [2 per cell]
O 0.2834 0.5000 0.3471 [2 per cell]
O 0.2841 0.0000 0.8503 [2 per cell]
O 0.2864 0.2639 0.5945 [4 per cell]
O 0.2898 0.2403 0.0921 [4 per cell]
O 0.3988 0.2282 0.9643 [4 per cell]
O 0.3989 0.2732 0.4641 [4 per cell]
O 0.4050 0.5000 0.7119 [2 per cell]
O 0.4097 0.0000 0.2136 [2 per cell]
O 0.4111 0.5000 0.2144 [2 per cell]
O 0.4200 0.0000 0.7148 [2 per cell]

Most intense lines, 2θ = 10–90°, low angle first:
h k l	2θ/deg	I (rel.)
1 1 1	18.00	39
1 1 -3	20.81	8
0 2 0	29.59	16
1 1 -7	34.85	100
2 2 2	36.46	14
4 0 4	42.35	39
5 1 5	55.96	37
0 4 0	61.43	51
5 3 5	72.61	10
1 1 17	87.83	16